1.
Diffraction record for Tb3Sn5Pb2. The powder X-ray diffraction pattern is computed, not measured: it uses the PBE geometry in OQMD and Cu Kα, 1.54184 Å.
Kinematic intensities with the Lorentz-polarization factor, no thermal factor.

The 6 most intense peaks (2θ = 10–80°), sorted by position:
two_theta, I_rel
32.85, 100
33.68, 21
39.50, 16
40.83, 15
59.72, 13
67.46, 13

Cell and atoms:
```
data_Tb3Sn5Pb2
_chemical_formula_sum 'Tb3 Sn5 Pb2'
_cell_length_a 13.4861
_cell_length_b 13.4861
_cell_length_c 4.5624
_cell_angle_alpha 90.00
_cell_angle_beta 90.00
_cell_angle_gamma 161.14
_space_group_name_H-M_alt 'P 1'
_space_group_IT_number 1
_space_group_name_Hall 'P 1'
loop_
_atom_site_label
_atom_site_fract_x
_atom_site_fract_y
_atom_site_fract_z
Tb1 0.0000 0.0000 0.0000
Tb2 0.3091 0.6909 0.5000
Tb3 0.6909 0.3091 0.5000
Sn1 0.0957 0.9043 0.5000
Sn2 0.2113 0.7887 0.0000
Sn3 0.5000 0.5000 0.5000
Sn4 0.7887 0.2113 0.0000
Sn5 0.9043 0.0957 0.5000
Pb1 0.4019 0.5981 0.0000
Pb2 0.5981 0.4019 0.0000
```

=====

2.
Diffraction record for Tb3Sn4Pb3. The powder X-ray diffraction pattern is computed, not measured: it uses the PBE geometry in OQMD and Cu Kα, 1.54184 Å.
Kinematic intensities with the Lorentz-polarization factor, no thermal factor.

The 6 most intense peaks (2θ = 10–80°), sorted by position:
two_theta, I_rel
32.74, 100
33.49, 21
39.92, 15
40.22, 15
59.40, 14
67.97, 13

Cell and atoms:
```
data_Tb3Sn4Pb3
_chemical_formula_sum 'Tb3 Sn4 Pb3'
_cell_length_a 13.5646
_cell_length_b 13.5646
_cell_length_c 4.5172
_cell_angle_alpha 90.00
_cell_angle_beta 90.00
_cell_angle_gamma 160.97
_space_group_name_H-M_alt 'P 1'
_space_group_IT_number 1
_space_group_name_Hall 'P 1'
loop_
_atom_site_label
_atom_site_fract_x
_atom_site_fract_y
_atom_site_fract_z
Tb1 0.0000 0.0000 0.0000
Tb2 0.3087 0.6913 0.5000
Tb3 0.6913 0.3087 0.5000
Sn1 0.2117 0.7883 0.0000
Sn2 0.4023 0.5977 0.0000
Sn3 0.5977 0.4023 0.0000
Sn4 0.7883 0.2117 0.0000
Pb1 0.0985 0.9015 0.5000
Pb2 0.5000 0.5000 0.5000
Pb3 0.9015 0.0985 0.5000
```

=====

3.
Diffraction record for Tb3Sn5Pb2. The powder X-ray diffraction pattern is computed, not measured: it uses the PBE geometry in OQMD and Cu Kα, 1.54184 Å.
Kinematic intensities with the Lorentz-polarization factor, no thermal factor.

The 6 most intense peaks (2θ = 10–80°), sorted by position:
two_theta, I_rel
32.92, 100
33.65, 20
40.23, 16
40.38, 15
68.51, 13
68.73, 12

Cell and atoms:
```
data_Tb3Sn5Pb2
_chemical_formula_sum 'Tb3 Sn5 Pb2'
_cell_length_a 13.5029
_cell_length_b 13.5029
_cell_length_c 4.4836
_cell_angle_alpha 90.00
_cell_angle_beta 90.00
_cell_angle_gamma 160.96
_space_group_name_H-M_alt 'P 1'
_space_group_IT_number 1
_space_group_name_Hall 'P 1'
loop_
_atom_site_label
_atom_site_fract_x
_atom_site_fract_y
_atom_site_fract_z
Tb1 0.0000 0.0000 0.0000
Tb2 0.3127 0.6873 0.5000
Tb3 0.6873 0.3127 0.5000
Sn1 0.0955 0.9045 0.5000
Sn2 0.4043 0.5957 0.0000
Sn3 0.5000 0.5000 0.5000
Sn4 0.5957 0.4043 0.0000
Sn5 0.9045 0.0955 0.5000
Pb1 0.2089 0.7911 0.0000
Pb2 0.7911 0.2089 0.0000
```

=====

4.
Diffraction record for Tb2YSn4Pb3. The powder X-ray diffraction pattern is computed, not measured: it uses the PBE geometry in OQMD and Cu Kα, 1.54184 Å.
Kinematic intensities with the Lorentz-polarization factor, no thermal factor.

The 6 most intense peaks (2θ = 10–80°), sorted by position:
two_theta, I_rel
32.74, 100
33.55, 21
39.86, 15
40.22, 15
59.48, 15
67.89, 13

Cell and atoms:
```
data_Tb2YSn4Pb3
_chemical_formula_sum 'Tb2 Y1 Sn4 Pb3'
_cell_length_a 13.5418
_cell_length_b 13.5418
_cell_length_c 4.5235
_cell_angle_alpha 90.00
_cell_angle_beta 90.00
_cell_angle_gamma 160.94
_space_group_name_H-M_alt 'P 1'
_space_group_IT_number 1
_space_group_name_Hall 'P 1'
loop_
_atom_site_label
_atom_site_fract_x
_atom_site_fract_y
_atom_site_fract_z
Tb1 0.1913 0.8087 0.0000
Tb2 0.8087 0.1913 0.0000
Y1 0.5000 0.5000 0.5000
Sn1 0.0979 0.9021 0.5000
Sn2 0.2885 0.7115 0.5000
Sn3 0.7115 0.2885 0.5000
Sn4 0.9021 0.0979 0.5000
Pb1 0.0000 0.0000 0.0000
Pb2 0.4013 0.5987 0.0000
Pb3 0.5987 0.4013 0.0000
```

=====

5.
Diffraction record for Tb2YSn4Pb3. The powder X-ray diffraction pattern is computed, not measured: it uses the PBE geometry in OQMD and Cu Kα, 1.54184 Å.
Kinematic intensities with the Lorentz-polarization factor, no thermal factor.

The 6 most intense peaks (2θ = 10–80°), sorted by position:
two_theta, I_rel
32.78, 100
33.50, 20
40.06, 15
40.22, 15
68.19, 13
68.42, 12

Cell and atoms:
```
data_Tb2YSn4Pb3
_chemical_formula_sum 'Tb2 Y1 Sn4 Pb3'
_cell_length_a 13.5618
_cell_length_b 13.5618
_cell_length_c 4.5018
_cell_angle_alpha 90.00
_cell_angle_beta 90.00
_cell_angle_gamma 160.97
_space_group_name_H-M_alt 'P 1'
_space_group_IT_number 1
_space_group_name_Hall 'P 1'
loop_
_atom_site_label
_atom_site_fract_x
_atom_site_fract_y
_atom_site_fract_z
Tb1 0.1877 0.8123 0.0000
Tb2 0.8123 0.1877 0.0000
Y1 0.5000 0.5000 0.5000
Sn1 0.0969 0.9031 0.5000
Sn2 0.4035 0.5965 0.0000
Sn3 0.5965 0.4035 0.0000
Sn4 0.9031 0.0969 0.5000
Pb1 0.0000 0.0000 0.0000
Pb2 0.2908 0.7092 0.5000
Pb3 0.7092 0.2908 0.5000
```

=====

6.
Diffraction record for Tb2YSn6Pb. The powder X-ray diffraction pattern is computed, not measured: it uses the PBE geometry in OQMD and Cu Kα, 1.54184 Å.
Kinematic intensities with the Lorentz-polarization factor, no thermal factor.

The 6 most intense peaks (2θ = 10–80°), sorted by position:
two_theta, I_rel
33.02, 100
33.66, 20
40.16, 16
40.79, 15
68.47, 13
69.32, 22

Cell and atoms:
```
data_Tb2YSn6Pb
_chemical_formula_sum 'Tb2 Y1 Sn6 Pb1'
_cell_length_a 13.4967
_cell_length_b 13.4967
_cell_length_c 4.4913
_cell_angle_alpha 90.00
_cell_angle_beta 90.00
_cell_angle_gamma 161.13
_space_group_name_H-M_alt 'P 1'
_space_group_IT_number 1
_space_group_name_Hall 'P 1'
loop_
_atom_site_label
_atom_site_fract_x
_atom_site_fract_y
_atom_site_fract_z
Tb1 0.1888 0.8112 0.0000
Tb2 0.8112 0.1888 0.0000
Y1 0.5000 0.5000 0.5000
Sn1 0.0973 0.9027 0.5000
Sn2 0.2883 0.7117 0.5000
Sn3 0.4031 0.5969 0.0000
Sn4 0.5969 0.4031 0.0000
Sn5 0.7117 0.2883 0.5000
Sn6 0.9027 0.0973 0.5000
Pb1 0.0000 0.0000 0.0000
```

=====

7.
Diffraction record for TbY2Sn3Pb4. The powder X-ray diffraction pattern is computed, not measured: it uses the PBE geometry in OQMD and Cu Kα, 1.54184 Å.
Kinematic intensities with the Lorentz-polarization factor, no thermal factor.

The 6 most intense peaks (2θ = 10–80°), sorted by position:
two_theta, I_rel
32.64, 100
33.41, 21
39.75, 15
40.10, 15
59.23, 13
67.68, 13

Cell and atoms:
```
data_TbY2Sn3Pb4
_chemical_formula_sum 'Tb1 Y2 Sn3 Pb4'
_cell_length_a 13.5994
_cell_length_b 13.5994
_cell_length_c 4.4971
_cell_angle_alpha 90.00
_cell_angle_beta 90.00
_cell_angle_gamma 160.80
_space_group_name_H-M_alt 'P 1'
_space_group_IT_number 1
_space_group_name_Hall 'P 1'
loop_
_atom_site_label
_atom_site_fract_x
_atom_site_fract_y
_atom_site_fract_z
Tb1 0.0000 0.0000 0.0000
Y1 0.3110 0.6890 0.5000
Y2 0.6890 0.3110 0.5000
Sn1 0.4039 0.5961 0.0000
Sn2 0.5000 0.5000 0.5000
Sn3 0.5961 0.4039 0.0000
Pb1 0.0962 0.9038 0.5000
Pb2 0.2089 0.7911 0.0000
Pb3 0.7911 0.2089 0.0000
Pb4 0.9038 0.0962 0.5000
```

=====

8.
Diffraction record for TbY2Sn3Pb4. The powder X-ray diffraction pattern is computed, not measured: it uses the PBE geometry in OQMD and Cu Kα, 1.54184 Å.
Kinematic intensities with the Lorentz-polarization factor, no thermal factor.

The 6 most intense peaks (2θ = 10–80°), sorted by position:
two_theta, I_rel
32.47, 100
33.35, 22
39.26, 15
40.09, 15
59.06, 15
68.03, 24

Cell and atoms:
```
data_TbY2Sn3Pb4
_chemical_formula_sum 'Tb1 Y2 Sn3 Pb4'
_cell_length_a 13.6190
_cell_length_b 13.6190
_cell_length_c 4.5899
_cell_angle_alpha 90.00
_cell_angle_beta 90.00
_cell_angle_gamma 160.99
_space_group_name_H-M_alt 'P 1'
_space_group_IT_number 1
_space_group_name_Hall 'P 1'
loop_
_atom_site_label
_atom_site_fract_x
_atom_site_fract_y
_atom_site_fract_z
Tb1 0.0000 0.0000 0.0000
Y1 0.3067 0.6933 0.5000
Y2 0.6933 0.3067 0.5000
Sn1 0.2109 0.7891 0.0000
Sn2 0.5000 0.5000 0.5000
Sn3 0.7891 0.2109 0.0000
Pb1 0.0973 0.9027 0.5000
Pb2 0.4018 0.5982 0.0000
Pb3 0.5982 0.4018 0.0000
Pb4 0.9027 0.0973 0.5000
```

=====

9.
Diffraction record for TbY2Sn4Pb3. The powder X-ray diffraction pattern is computed, not measured: it uses the PBE geometry in OQMD and Cu Kα, 1.54184 Å.
Kinematic intensities with the Lorentz-polarization factor, no thermal factor.

The 6 most intense peaks (2θ = 10–80°), sorted by position:
two_theta, I_rel
32.74, 100
33.60, 21
39.37, 16
40.65, 15
59.54, 14
67.22, 13

Cell and atoms:
```
data_TbY2Sn4Pb3
_chemical_formula_sum 'Tb1 Y2 Sn4 Pb3'
_cell_length_a 13.5197
_cell_length_b 13.5197
_cell_length_c 4.5769
_cell_angle_alpha 90.00
_cell_angle_beta 90.00
_cell_angle_gamma 161.10
_space_group_name_H-M_alt 'P 1'
_space_group_IT_number 1
_space_group_name_Hall 'P 1'
loop_
_atom_site_label
_atom_site_fract_x
_atom_site_fract_y
_atom_site_fract_z
Tb1 0.0000 0.0000 0.0000
Y1 0.3086 0.6914 0.5000
Y2 0.6914 0.3086 0.5000
Sn1 0.0971 0.9029 0.5000
Sn2 0.2114 0.7886 0.0000
Sn3 0.7886 0.2114 0.0000
Sn4 0.9029 0.0971 0.5000
Pb1 0.4010 0.5990 0.0000
Pb2 0.5000 0.5000 0.5000
Pb3 0.5990 0.4010 0.0000
```

=====

10.
Diffraction record for Tb2YSn5Pb2. The powder X-ray diffraction pattern is computed, not measured: it uses the PBE geometry in OQMD and Cu Kα, 1.54184 Å.
Kinematic intensities with the Lorentz-polarization factor, no thermal factor.

The 6 most intense peaks (2θ = 10–80°), sorted by position:
two_theta, I_rel
32.85, 100
33.55, 21
40.23, 30
53.36, 23
59.55, 13
68.47, 25

Cell and atoms:
```
data_Tb2YSn5Pb2
_chemical_formula_sum 'Tb2 Y1 Sn5 Pb2'
_cell_length_a 13.5408
_cell_length_b 13.5408
_cell_length_c 4.4866
_cell_angle_alpha 90.00
_cell_angle_beta 90.00
_cell_angle_gamma 160.95
_space_group_name_H-M_alt 'P 1'
_space_group_IT_number 1
_space_group_name_Hall 'P 1'
loop_
_atom_site_label
_atom_site_fract_x
_atom_site_fract_y
_atom_site_fract_z
Tb1 0.1909 0.8091 0.0000
Tb2 0.8091 0.1909 0.0000
Y1 0.5000 0.5000 0.5000
Sn1 0.0000 0.0000 0.0000
Sn2 0.0965 0.9035 0.5000
Sn3 0.2885 0.7115 0.5000
Sn4 0.7115 0.2885 0.5000
Sn5 0.9035 0.0965 0.5000
Pb1 0.4027 0.5973 0.0000
Pb2 0.5973 0.4027 0.0000
```

=====

11.
Diffraction record for TbY2Sn3Pb4. The powder X-ray diffraction pattern is computed, not measured: it uses the PBE geometry in OQMD and Cu Kα, 1.54184 Å.
Kinematic intensities with the Lorentz-polarization factor, no thermal factor.

The 6 most intense peaks (2θ = 10–80°), sorted by position:
two_theta, I_rel
32.66, 100
33.51, 21
39.37, 16
40.46, 15
59.37, 13
67.17, 13

Cell and atoms:
```
data_TbY2Sn3Pb4
_chemical_formula_sum 'Tb1 Y2 Sn3 Pb4'
_cell_length_a 13.5555
_cell_length_b 13.5555
_cell_length_c 4.5774
_cell_angle_alpha 90.00
_cell_angle_beta 90.00
_cell_angle_gamma 161.07
_space_group_name_H-M_alt 'P 1'
_space_group_IT_number 1
_space_group_name_Hall 'P 1'
loop_
_atom_site_label
_atom_site_fract_x
_atom_site_fract_y
_atom_site_fract_z
Tb1 0.0000 0.0000 0.0000
Y1 0.3105 0.6895 0.5000
Y2 0.6895 0.3105 0.5000
Sn1 0.0951 0.9049 0.5000
Sn2 0.5000 0.5000 0.5000
Sn3 0.9049 0.0951 0.5000
Pb1 0.2086 0.7914 0.0000
Pb2 0.4033 0.5967 0.0000
Pb3 0.5967 0.4033 0.0000
Pb4 0.7914 0.2086 0.0000
```

=====

12.
Diffraction record for TbY2Sn2Pb5. The powder X-ray diffraction pattern is computed, not measured: it uses the PBE geometry in OQMD and Cu Kα, 1.54184 Å.
Kinematic intensities with the Lorentz-polarization factor, no thermal factor.

The 6 most intense peaks (2θ = 10–80°), sorted by position:
two_theta, I_rel
32.35, 100
33.26, 22
39.07, 15
39.96, 15
58.86, 16
67.76, 24

Cell and atoms:
```
data_TbY2Sn2Pb5
_chemical_formula_sum 'Tb1 Y2 Sn2 Pb5'
_cell_length_a 13.6547
_cell_length_b 13.6547
_cell_length_c 4.6114
_cell_angle_alpha 90.00
_cell_angle_beta 90.00
_cell_angle_gamma 160.98
_space_group_name_H-M_alt 'P 1'
_space_group_IT_number 1
_space_group_name_Hall 'P 1'
loop_
_atom_site_label
_atom_site_fract_x
_atom_site_fract_y
_atom_site_fract_z
Tb1 0.0000 0.0000 0.0000
Y1 0.3063 0.6937 0.5000
Y2 0.6937 0.3063 0.5000
Sn1 0.2111 0.7889 0.0000
Sn2 0.7889 0.2111 0.0000
Pb1 0.0988 0.9012 0.5000
Pb2 0.4005 0.5995 0.0000
Pb3 0.5000 0.5000 0.5000
Pb4 0.5995 0.4005 0.0000
Pb5 0.9012 0.0988 0.5000
```

=====

13.
Diffraction record for Tb2YSnPb6. The powder X-ray diffraction pattern is computed, not measured: it uses the PBE geometry in OQMD and Cu Kα, 1.54184 Å.
Kinematic intensities with the Lorentz-polarization factor, no thermal factor.

The 6 most intense peaks (2θ = 10–80°), sorted by position:
two_theta, I_rel
32.21, 100
33.10, 21
39.02, 16
39.68, 15
58.57, 15
67.37, 23

Cell and atoms:
```
data_Tb2YSnPb6
_chemical_formula_sum 'Tb2 Y1 Sn1 Pb6'
_cell_length_a 13.7201
_cell_length_b 13.7201
_cell_length_c 4.6163
_cell_angle_alpha 90.00
_cell_angle_beta 90.00
_cell_angle_gamma 160.94
_space_group_name_H-M_alt 'P 1'
_space_group_IT_number 1
_space_group_name_Hall 'P 1'
loop_
_atom_site_label
_atom_site_fract_x
_atom_site_fract_y
_atom_site_fract_z
Tb1 0.1915 0.8085 0.0000
Tb2 0.8085 0.1915 0.0000
Y1 0.5000 0.5000 0.5000
Sn1 0.0000 0.0000 0.0000
Pb1 0.0966 0.9034 0.5000
Pb2 0.2913 0.7087 0.5000
Pb3 0.4040 0.5960 0.0000
Pb4 0.5960 0.4040 0.0000
Pb5 0.7087 0.2913 0.5000
Pb6 0.9034 0.0966 0.5000
```

=====

14.
Diffraction record for TbZnTe3Pb. The powder X-ray diffraction pattern is computed, not measured: it uses the PBE geometry in OQMD and Cu Kα, 1.54184 Å.
Kinematic intensities with the Lorentz-polarization factor, no thermal factor.

The 6 most intense peaks (2θ = 10–80°), sorted by position:
two_theta, I_rel
25.40, 14
28.42, 45
31.64, 100
31.95, 22
41.26, 21
49.04, 19

Cell and atoms:
```
data_TbZnTe3Pb
_chemical_formula_sum 'Tb2 Zn2 Te6 Pb2'
_cell_length_a 7.6959
_cell_length_b 7.6959
_cell_length_c 11.2881
_cell_angle_alpha 90.00
_cell_angle_beta 90.00
_cell_angle_gamma 146.96
_space_group_name_H-M_alt 'P 1'
_space_group_IT_number 1
_space_group_name_Hall 'P 1'
loop_
_atom_site_label
_atom_site_fract_x
_atom_site_fract_y
_atom_site_fract_z
Tb1 0.0000 0.0000 0.0000
Tb2 0.0000 0.0000 0.5000
Zn1 0.4725 0.5275 0.7500
Zn2 0.5275 0.4725 0.2500
Te1 0.0895 0.9105 0.7500
Te2 0.3565 0.6435 0.5556
Te3 0.3565 0.6435 0.9444
Te4 0.6435 0.3565 0.0556
Te5 0.6435 0.3565 0.4444
Te6 0.9105 0.0895 0.2500
Pb1 0.2155 0.7845 0.2500
Pb2 0.7845 0.2155 0.7500
```